# Na2CaH4C2O8
Simulated PXRD pattern, Cu Kα, 1.54184 Å. Input: a DFT-relaxed cell (PBE, Alexandria).
Neutral-atom scattering factors, no anomalous dispersion.

Main lines, by angle (10 to 80 degrees two-theta):
Position (°2θ)	I_rel
17.0	78
27.8	67
32.3	65
33.3	100
34.5	84
35.6	80
44.2	84
50.9	61

Atomic structure:
Lattice parameters (Å, degrees): 10.539 6.514 11.616 64.02 33.76 82.22
Atoms (fractional coordinates):
Na  0.319  0.681  0.446
Na  0.681  0.319  0.554
Na  0.696  0.804  0.569
Na  0.804  0.696  0.931
Ca  0.239  0.239  0.261
Ca  0.989  0.989  0.011
H  0.150  0.729  0.326
H  0.400  0.633  0.644
H  0.456  0.924  0.521
H  0.606  0.926  0.850
H  0.633  0.400  0.324
H  0.729  0.150  0.794
H  0.924  0.456  0.100
H  0.926  0.606  0.617
C  0.191  0.307  0.035
C  0.215  0.783  0.059
C  0.307  0.191  0.467
C  0.783  0.215  0.943
O  0.073  0.773  0.441
O  0.158  0.340  0.943
O  0.221  0.999  0.508
O  0.307  0.690  0.092
O  0.340  0.158  0.560
O  0.360  0.919  0.833
O  0.362  0.417  0.331
O  0.417  0.362  0.890
O  0.538  0.809  0.477
O  0.690  0.307  0.910
O  0.742  0.978  0.029
O  0.773  0.073  0.712
O  0.809  0.538  0.177
O  0.919  0.360  0.888
O  0.978  0.742  0.251
O  0.999  0.221  0.272

---

# Ca7Si6H4CO23
Simulated PXRD pattern, Cu Kα, 1.54184 Å. Input: a DFT-relaxed cell (PBE, Alexandria).
Neutral-atom scattering factors, no anomalous dispersion.

Main lines, by angle (10 to 80 degrees two-theta):
Position (°2θ)	I_rel
19.5	31
25.0	32
27.5	42
29.3	100
29.6	93
30.0	32
40.1	41
47.6	46

Atomic structure:
Lattice parameters (Å, degrees): 9.471 9.471 6.690 104.57 104.57 108.18
Atoms (fractional coordinates):
Ca  0.000  0.000  0.000
Ca  0.061  0.331  0.540
Ca  0.241  0.742  0.025
Ca  0.331  0.061  0.540
Ca  0.627  0.919  0.514
Ca  0.742  0.241  0.025
Ca  0.919  0.627  0.514
Si  0.163  0.372  0.094
Si  0.312  0.666  0.523
Si  0.372  0.163  0.094
Si  0.614  0.822  0.961
Si  0.666  0.312  0.523
Si  0.822  0.614  0.961
H  0.349  0.349  0.830
H  0.433  0.433  0.687
H  0.576  0.576  0.380
H  0.666  0.666  0.244
C  0.003  0.003  0.539
O  0.014  0.266  0.145
O  0.053  0.906  0.611
O  0.061  0.061  0.406
O  0.131  0.456  0.916
O  0.169  0.623  0.617
O  0.250  0.250  0.005
O  0.266  0.014  0.145
O  0.298  0.506  0.333
O  0.338  0.811  0.428
O  0.343  0.343  0.678
O  0.456  0.131  0.916
O  0.483  0.702  0.711
O  0.506  0.298  0.333
O  0.527  0.852  0.134
O  0.623  0.169  0.617
O  0.668  0.668  0.396
O  0.702  0.483  0.711
O  0.720  0.720  0.042
O  0.730  0.972  0.920
O  0.811  0.338  0.428
O  0.852  0.527  0.134
O  0.906  0.053  0.611
O  0.972  0.730  0.920

---

# CaInC2
Simulated PXRD pattern, Cu Kα, 1.54184 Å. Input: a DFT-relaxed cell (PBE, Alexandria).
Neutral-atom scattering factors, no anomalous dispersion.

Main lines, by angle (10 to 80 degrees two-theta):
Position (°2θ)	I_rel
20.2	37
26.2	26
30.2	100
38.7	21
47.3	31
48.8	25
64.8	22
77.3	12

Atomic structure:
Lattice parameters (Å, degrees): 7.555 7.555 7.555 144.14 144.14 51.62
Atoms (fractional coordinates):
Ca  0.000  0.000  0.000
Ca  0.750  0.250  0.500
In  0.250  0.750  0.500
In  0.500  0.500  0.000
C  0.228  0.625  0.103
C  0.375  0.478  0.603
C  0.522  0.125  0.897
C  0.875  0.772  0.397

---

# CaMnIr2C
Simulated PXRD pattern, Cu Kα, 1.54184 Å. Input: a DFT-relaxed cell (PBE, Alexandria).
Neutral-atom scattering factors, no anomalous dispersion.

Main lines, by angle (10 to 80 degrees two-theta):
Position (°2θ)	I_rel
21.1	60
25.7	42
33.5	100
36.7	57
42.7	40
52.9	20
57.7	30
64.1	31

Atomic structure:
Lattice parameters (Å, degrees): 4.897 4.897 4.216 90.00 90.00 90.00
Atoms (fractional coordinates):
Ca  0.000  0.000  0.000
Mn  0.500  0.500  0.500
Ir  0.000  0.500  0.000
Ir  0.500  0.000  0.000
C  0.000  0.000  0.500

---

# KCaC2
Simulated PXRD pattern, Cu Kα, 1.54184 Å. Input: a DFT-relaxed cell (PBE, Alexandria).
Neutral-atom scattering factors, no anomalous dispersion.

Main lines, by angle (10 to 80 degrees two-theta):
Position (°2θ)	I_rel
27.4	48
39.2	100
48.5	13
56.6	14
64.0	16
71.0	27

Atomic structure:
Lattice parameters (Å, degrees): 4.601 4.601 4.601 60.00 60.00 60.00
Atoms (fractional coordinates):
K  0.000  0.000  0.000
Ca  0.500  0.500  0.500
C  0.250  0.250  0.250
C  0.750  0.750  0.750

---

# CaMn2C2
Simulated PXRD pattern, Cu Kα, 1.54184 Å. Input: a DFT-relaxed cell (PBE, Alexandria).
Neutral-atom scattering factors, no anomalous dispersion.

Main lines, by angle (10 to 80 degrees two-theta):
Position (°2θ)	I_rel
20.5	40
34.8	92
36.3	100
42.7	38
46.5	55
55.0	18
55.6	22
64.4	18

Atomic structure:
Lattice parameters (Å, degrees): 6.200 5.460 5.217 70.96 56.35 52.69
Atoms (fractional coordinates):
Ca  0.125  0.125  0.125
Ca  0.875  0.875  0.875
Mn  0.241  0.241  0.509
Mn  0.491  0.491  0.759
Mn  0.509  0.509  0.241
Mn  0.759  0.759  0.491
C  0.186  0.564  0.186
C  0.436  0.814  0.436
C  0.564  0.186  0.564
C  0.814  0.436  0.814